This entry pairs a crystal structure of Na3Pr2NdPb3 with its calculated powder diffractogram. Radiation: Cu Kα (λ = 1.5418 Å). Structure: the PBE geometry in OQMD.
Kinematic intensities with the Lorentz-polarization factor, no thermal factor.

Cell and atoms:
Cell lengths 5.287, 5.287, 10.909 Å; angles 90.00, 90.00, 120.00 degrees
Fractional positions:
Na (0.000, 0.000, 0.000)
Na (0.667, 0.333, 0.315)
Na (0.667, 0.333, 0.685)
Pr (0.333, 0.667, 0.166)
Pr (0.333, 0.667, 0.834)
Nd (0.333, 0.667, 0.500)
Pb (0.000, 0.000, 0.343)
Pb (0.000, 0.000, 0.657)
Pb (0.667, 0.333, 0.000)

Most intense lines, 2θ = 15–90°, by angle:
21.04°, rel. 47.7
25.40°, rel. 19.4
31.42°, rel. 100.0
33.91°, rel. 83.2
38.42°, rel. 15.3
46.90°, rel. 33.2
59.13°, rel. 33.4
60.68°, rel. 15.7
61.95°, rel. 27.6
80.04°, rel. 14.1